Entry 1:
Calculated powder X-ray diffraction pattern
Compound: TlPd2Se3
Radiation: Cu Kα (weighted mean of Kα1 and Kα2)
Structure: a cell relaxed with PBE
Lines closer than 0.1° are merged.

Crystal structure
```
TlPd2Se3
1.0
7.524 0.000 0.000
-3.762 6.516 0.000
0.000 0.000 6.034
Tl Pd Se
2 4 6
direct
0.333 0.667 0.356
0.667 0.333 0.644
0.000 0.000 0.000
0.000 0.500 0.000
0.500 0.000 0.000
0.500 0.500 0.000
0.170 0.340 0.791
0.170 0.830 0.791
0.340 0.170 0.209
0.660 0.830 0.791
0.830 0.170 0.209
0.830 0.660 0.209
```

The 8 most intense peaks (2θ from 15° to 90°), in order of rising 2θ:
- 20.1 deg, rel. 15
- 27.9 deg, rel. 16
- 31.2 deg, rel. 100
- 32.7 deg, rel. 21
- 40.8 deg, rel. 34
- 48.4 deg, rel. 36
- 58.7 deg, rel. 16
- 79.4 deg, rel. 15

Entry 2:
Calculated powder X-ray diffraction pattern
Compound: UPdSe3
Radiation: Cu Kα (weighted mean of Kα1 and Kα2)
Structure: a cell relaxed with PBE
Lines closer than 0.1° are merged.

Crystal structure
```
UPdSe3
1.0
7.779 0.000 0.000
0.000 8.821 0.000
0.000 0.000 6.435
U Pd Se
4 4 12
direct
0.139 0.250 0.065
0.361 0.750 0.565
0.639 0.250 0.435
0.861 0.750 0.935
0.000 0.000 0.500
0.000 0.500 0.500
0.500 0.000 0.000
0.500 0.500 0.000
0.065 0.750 0.318
0.161 0.558 0.837
0.161 0.942 0.837
0.339 0.058 0.337
0.339 0.442 0.337
0.435 0.250 0.818
0.565 0.750 0.182
0.661 0.558 0.663
0.661 0.942 0.663
0.839 0.058 0.163
0.839 0.442 0.163
0.935 0.250 0.682
```

The 8 most intense peaks (2θ from 15° to 90°), in order of rising 2θ:
- 20.5 deg, rel. 100
- 27.1 deg, rel. 77
- 31.8 deg, rel. 57
- 33.7 deg, rel. 74
- 35.5 deg, rel. 66
- 37.4 deg, rel. 76
- 37.7 deg, rel. 47
- 38.4 deg, rel. 41

Entry 3:
Calculated powder X-ray diffraction pattern
Compound: SiPd4
Radiation: Cu Kα (weighted mean of Kα1 and Kα2)
Structure: a cell relaxed with PBE
Lines closer than 0.1° are merged.

Crystal structure
```
SiPd4
1.0
1.437 0.830 10.525
-1.437 0.830 10.525
0.000 -1.660 10.525
Si Pd
1 4
direct
0.000 0.000 0.000
0.202 0.202 0.202
0.391 0.391 0.391
0.609 0.609 0.609
0.798 0.798 0.798
```

The 8 most intense peaks (2θ from 15° to 90°), in order of rising 2θ:
- 34.1 deg, rel. 15
- 38.9 deg, rel. 100
- 41.4 deg, rel. 13
- 43.0 deg, rel. 18
- 46.5 deg, rel. 52
- 64.9 deg, rel. 22
- 78.3 deg, rel. 12
- 81.0 deg, rel. 16

Entry 4:
Calculated powder X-ray diffraction pattern
Compound: SiPd3
Radiation: Cu Kα (weighted mean of Kα1 and Kα2)
Structure: a cell relaxed with PBE
Lines closer than 0.1° are merged.

Crystal structure
```
SiPd3
1.0
5.860 0.000 0.000
0.000 7.631 0.000
0.000 0.000 5.342
Si Pd
4 12
direct
0.104 0.250 0.030
0.396 0.750 0.530
0.604 0.250 0.470
0.896 0.750 0.970
0.007 0.750 0.403
0.180 0.552 0.822
0.180 0.948 0.822
0.320 0.052 0.322
0.320 0.448 0.322
0.493 0.250 0.903
0.507 0.750 0.097
0.680 0.552 0.678
0.680 0.948 0.678
0.820 0.052 0.178
0.820 0.448 0.178
0.993 0.250 0.597
```

The 8 most intense peaks (2θ from 15° to 90°), in order of rising 2θ:
- 32.6 deg, rel. 62
- 34.9 deg, rel. 52
- 37.0 deg, rel. 97
- 38.7 deg, rel. 100
- 38.9 deg, rel. 70
- 39.2 deg, rel. 91
- 41.3 deg, rel. 48
- 42.4 deg, rel. 52

Entry 5:
Calculated powder X-ray diffraction pattern
Compound: Si2Pd9
Radiation: Cu Kα (weighted mean of Kα1 and Kα2)
Structure: a cell relaxed with PBE
Lines closer than 0.1° are merged.

Crystal structure
```
Si2Pd9
1.0
9.177 0.000 0.000
0.000 7.535 0.000
0.000 0.000 9.556
Si Pd
8 36
direct
0.132 0.250 0.212
0.227 0.750 0.322
0.273 0.250 0.822
0.368 0.750 0.712
0.632 0.250 0.288
0.727 0.750 0.178
0.773 0.250 0.678
0.868 0.750 0.788
0.050 0.250 0.665
0.059 0.250 0.970
0.102 0.566 0.819
0.102 0.934 0.819
0.112 0.058 0.406
0.112 0.442 0.406
0.149 0.750 0.567
0.182 0.559 0.123
0.182 0.941 0.123
0.318 0.059 0.623
0.318 0.441 0.623
0.351 0.250 0.067
0.388 0.558 0.906
0.388 0.942 0.906
0.398 0.066 0.319
0.398 0.434 0.319
0.441 0.750 0.470
0.450 0.750 0.165
0.550 0.250 0.835
0.559 0.250 0.530
0.602 0.566 0.681
0.602 0.934 0.681
0.612 0.058 0.094
0.612 0.442 0.094
0.649 0.750 0.933
0.682 0.559 0.377
0.682 0.941 0.377
0.818 0.059 0.877
0.818 0.441 0.877
0.851 0.250 0.433
0.888 0.558 0.594
0.888 0.942 0.594
0.898 0.066 0.181
0.898 0.434 0.181
0.941 0.750 0.030
0.950 0.750 0.335
```

The 8 most intense peaks (2θ from 15° to 90°), in order of rising 2θ:
- 34.8 deg, rel. 23
- 38.3 deg, rel. 100
- 39.3 deg, rel. 21
- 40.9 deg, rel. 60
- 41.1 deg, rel. 19
- 42.1 deg, rel. 80
- 42.5 deg, rel. 42
- 42.7 deg, rel. 24

Entry 6:
Calculated powder X-ray diffraction pattern
Compound: Sm4Si3Pd4
Radiation: Cu Kα (weighted mean of Kα1 and Kα2)
Structure: a cell relaxed with PBE
Lines closer than 0.1° are merged.

Crystal structure
```
Sm4Si3Pd4
1.0
10.660 -2.803 0.000
10.660 2.803 0.000
-2.568 0.000 7.500
Sm Si Pd
8 6 8
direct
0.066 0.798 0.829
0.202 0.934 0.671
0.205 0.455 0.103
0.455 0.205 0.603
0.545 0.795 0.397
0.795 0.545 0.897
0.798 0.066 0.329
0.934 0.202 0.171
0.051 0.292 0.551
0.292 0.051 0.051
0.348 0.652 0.250
0.652 0.348 0.750
0.708 0.949 0.949
0.949 0.708 0.449
0.085 0.363 0.305
0.302 0.565 0.481
0.363 0.085 0.805
0.435 0.698 0.019
0.565 0.302 0.981
0.637 0.915 0.195
0.698 0.435 0.519
0.915 0.637 0.695
```

The 8 most intense peaks (2θ from 15° to 90°), in order of rising 2θ:
- 30.2 deg, rel. 29
- 33.5 deg, rel. 35
- 34.1 deg, rel. 100
- 35.6 deg, rel. 23
- 36.3 deg, rel. 41
- 36.8 deg, rel. 35
- 37.7 deg, rel. 53
- 40.5 deg, rel. 43

- Number 6 is which compound?
  Sm4Si3Pd4